No. 1
Structure and theoretical powder XRD pattern of RbTaTlGeTeAs (a structure optimized by DFT (GGA-PBE); Cu Ka).
No peak broadening, texture or thermal motion is included.

```
data_RbTaTlGeTeAs
_chemical_formula_sum 'Rb1 Ta1 Tl1 Ge1 Te1 As1'
_space_group_name_H-M_alt 'P 1'
_space_group_IT_number 1
_cell_length_a 3.595
_cell_length_b 4.907
_cell_length_c 10.713
_cell_angle_alpha 98.62
_cell_angle_beta 90.23
_cell_angle_gamma 111.40
loop_
_space_group_symop_operation_xyz
'x,y,z'
loop_
_atom_site_label
_atom_site_fract_x
_atom_site_fract_y
_atom_site_fract_z
Rb1 0.000 0.000 0.000
Ta1 0.267 0.524 0.437
Tl1 0.237 0.461 0.746
Ge1 0.938 0.862 0.603
Te1 0.760 0.513 0.233
As1 0.556 0.101 0.438
```

Peak list (10 most intense, 10 to 80 degrees two-theta, in order of rising 2θ)
(hkl)  d [Å]  intensity
0 1 0  4.508  59
0 1 -2  3.743  39
0 1 2  3.184  49
1 0 1  3.131  100
0 0 4  2.643  34
1 0 -3  2.505  63
1 -1 3  2.495  63
1 -2 1  2.314  43
0 2 0  2.254  36
1 1 3  1.828  37



No. 2
Structure and theoretical powder XRD pattern of RbNpCuCl6 (a structure optimized by DFT (GGA-PBE); Cu Ka).
No peak broadening, texture or thermal motion is included.

```
data_RbNpCuCl6
_chemical_formula_sum 'Rb4 Np4 Cu4 Cl24'
_space_group_name_H-M_alt 'I m m a'
_space_group_IT_number 74
_space_group_name_Hall '-I 2b 2'
_cell_length_a 7.511
_cell_length_b 10.352
_cell_length_c 18.378
_cell_angle_alpha 90.00
_cell_angle_beta 90.00
_cell_angle_gamma 90.00
loop_
_atom_site_label
_atom_site_fract_x
_atom_site_fract_y
_atom_site_fract_z
Rb1 0.000 0.250 0.011
Np1 0.000 0.000 0.500
Cu1 0.250 0.250 0.250
Cl1 0.000 0.250 0.195
Cl2 0.000 0.250 0.451
Cl3 0.245 0.047 0.593
```

Peak list (10 most intense, 10 to 80 degrees two-theta, in order of rising 2θ)
(hkl)  d [Å]  intensity
1 0 1  6.952  52
1 0 3  4.747  31
0 0 4  4.595  32
0 2 2  4.510  47
1 2 1  4.152  100
1 2 3  3.499  50
2 0 2  3.475  45
1 2 5  2.783  49
2 0 6  2.374  36
1 2 7  2.236  39